Record 1
# BaLi2Pr2Pb2
Simulated PXRD pattern, Cu Kα, 1.54184 Å. Input: a cell relaxed with GGA-PBE.
Lines closer than 0.1° are merged.

Structural model:
Lattice parameters (Å, degrees): 5.0614 5.0614 30.1177 90.00 90.00 120.00
Space group R-3m (No. 166, hexagonal axes)
One atom of each set of equivalent atoms:
Ba1 0.0000 0.0000 0.0000
Li1 0.0000 0.0000 0.4209
Pr1 0.0000 0.0000 0.1321
Pb1 0.0000 0.0000 0.2525

Top 10 peaks for 5 to 70 degrees two-theta, most intense first:
- 2θ = 31.32°, I = 100
- 2θ = 35.47°, I = 79
- 2θ = 20.48°, I = 43
- 2θ = 29.08°, I = 37
- 2θ = 21.11°, I = 36
- 2θ = 48.04°, I = 31
- 2θ = 61.11°, I = 30
- 2θ = 23.48°, I = 21
- 2θ = 52.94°, I = 20
- 2θ = 36.19°, I = 17

Record 2
# Ba2Li4SnPb3
Simulated PXRD pattern, Cu Kα, 1.54184 Å. Input: a cell relaxed with GGA-PBE.
Lines closer than 0.1° are merged.

Structural model:
Lattice parameters (Å, degrees): 4.952 4.952 11.459 90.00 90.00 90.00
Space group P-4m2 (No. 115)
One atom of each set of equivalent atoms:
Ba1 0.000 0.500 0.248
Li1 0.000 0.000 0.000
Li2 0.000 0.500 0.632
Li3 0.500 0.500 0.000
Sn1 0.000 0.000 0.500
Pb1 0.000 0.500 0.882
Pb2 0.500 0.500 0.500

Top 10 peaks for 5 to 70 degrees two-theta, most intense first:
- 2θ = 26.62°, I = 100
- 2θ = 29.53°, I = 74
- 2θ = 36.28°, I = 64
- 2θ = 29.90°, I = 64
- 2θ = 23.75°, I = 55
- 2θ = 43.54°, I = 42
- 2θ = 47.45°, I = 40
- 2θ = 23.29°, I = 30
- 2θ = 57.92°, I = 26
- 2θ = 52.24°, I = 24

Record 3
# BaLiTl2Pb
Simulated PXRD pattern, Cu Kα, 1.54184 Å. Input: a cell relaxed with GGA-PBE.
Lines closer than 0.1° are merged.

Structural model:
Lattice parameters (Å, degrees): 6.356 7.009 6.990 90.00 90.00 90.00
Space group Pmma (No. 51)
One atom of each set of equivalent atoms:
Ba1 0.250 0.000 0.227
Li1 0.000 0.500 0.000
Tl1 0.250 0.259 0.735
Pb1 0.250 0.500 0.355

Top 10 peaks for 5 to 70 degrees two-theta, most intense first:
- 2θ = 31.85°, I = 100
- 2θ = 28.08°, I = 35
- 2θ = 52.13°, I = 32
- 2θ = 25.49°, I = 27
- 2θ = 38.28°, I = 19
- 2θ = 49.08°, I = 14
- 2θ = 12.65°, I = 11
- 2θ = 60.31°, I = 8
- 2θ = 66.55°, I = 7
- 2θ = 17.92°, I = 7

Record 4
# Ba2Li17Pd3
Simulated PXRD pattern, Cu Kα, 1.54184 Å. Input: a cell relaxed with GGA-PBE.
Lines closer than 0.1° are merged.

Structural model:
Lattice parameters (Å, degrees): 10.7020 10.7020 15.3396 90.00 90.00 120.00
Space group R-3m (No. 166, hexagonal axes)
One atom of each set of equivalent atoms:
Ba1 0.0000 0.0000 0.1679
Li1 0.0000 0.0000 0.4103
Li2 0.0000 0.2675 0.5000
Li3 0.0000 0.5000 0.0000
Li4 0.0014 0.5007 0.3340
Pd1 0.0000 0.5000 0.5000

Top 10 peaks for 5 to 70 degrees two-theta, most intense first:
- 2θ = 11.15°, I = 100
- 2θ = 17.34°, I = 86
- 2θ = 33.49°, I = 62
- 2θ = 37.96°, I = 61
- 2θ = 14.99°, I = 58
- 2θ = 49.30°, I = 40
- 2θ = 26.09°, I = 33
- 2θ = 28.00°, I = 30
- 2θ = 35.10°, I = 23
- 2θ = 20.02°, I = 22

Record 5
# Ba3Li7Pd4
Simulated PXRD pattern, Cu Kα, 1.54184 Å. Input: a cell relaxed with GGA-PBE.
Lines closer than 0.1° are merged.

Structural model:
Lattice parameters (Å, degrees): 17.039 4.436 10.759 90.00 126.89 90.00
Space group C2/m (No. 12)
One atom of each set of equivalent atoms:
Ba1 0.000 0.000 0.000
Ba2 0.194 0.500 0.708
Li1 0.000 0.000 0.500
Li2 0.012 0.500 0.285
Li3 0.164 0.000 0.420
Li4 0.184 0.500 0.005
Pd1 0.101 0.000 0.812
Pd2 0.164 0.500 0.274

Top 10 peaks for 5 to 70 degrees two-theta, most intense first:
- 2θ = 32.11°, I = 100
- 2θ = 28.12°, I = 87
- 2θ = 32.39°, I = 78
- 2θ = 33.17°, I = 76
- 2θ = 20.64°, I = 74
- 2θ = 20.93°, I = 50
- 2θ = 40.68°, I = 47
- 2θ = 25.51°, I = 42
- 2θ = 46.00°, I = 42
- 2θ = 25.18°, I = 38

Record 6
# Ba3LiPd2
Simulated PXRD pattern, Cu Kα, 1.54184 Å. Input: a cell relaxed with GGA-PBE.
Lines closer than 0.1° are merged.

Structural model:
Lattice parameters (Å, degrees): 7.742 11.547 10.292 90.00 109.59 90.00
Space group P2_1/c (No. 14)
One atom of each set of equivalent atoms:
Ba1 0.203 0.231 0.308
Ba2 0.254 0.561 0.522
Ba3 0.284 0.535 0.114
Li1 0.287 0.684 0.826
Pd1 0.041 0.528 0.770
Pd2 0.453 0.182 0.115

Top 10 peaks for 5 to 70 degrees two-theta, most intense first:
- 2θ = 26.37°, I = 100
- 2θ = 26.18°, I = 99
- 2θ = 29.64°, I = 95
- 2θ = 25.19°, I = 77
- 2θ = 38.75°, I = 69
- 2θ = 34.86°, I = 53
- 2θ = 40.97°, I = 39
- 2θ = 44.10°, I = 31
- 2θ = 43.39°, I = 31
- 2θ = 28.68°, I = 30

Record 7
# Ba3Li3Pd2
Simulated PXRD pattern, Cu Kα, 1.54184 Å. Input: a cell relaxed with GGA-PBE.
Lines closer than 0.1° are merged.

Structural model:
Lattice parameters (Å, degrees): 8.589 17.381 6.372 90.00 90.00 90.00
Space group Pnma (No. 62)
One atom of each set of equivalent atoms:
Ba1 0.039 0.105 0.109
Ba2 0.175 0.250 0.640
Li1 0.156 0.033 0.599
Li2 0.159 0.750 0.593
Pd1 0.122 0.606 0.376

Top 10 peaks for 5 to 70 degrees two-theta, most intense first:
- 2θ = 23.18°, I = 100
- 2θ = 30.36°, I = 91
- 2θ = 33.76°, I = 73
- 2θ = 32.51°, I = 69
- 2θ = 47.63°, I = 57
- 2θ = 29.24°, I = 51
- 2θ = 20.44°, I = 51
- 2θ = 30.87°, I = 47
- 2θ = 34.34°, I = 42
- 2θ = 46.81°, I = 33

Record 8
# Ba3Li2Pd4
Simulated PXRD pattern, Cu Kα, 1.54184 Å. Input: a cell relaxed with GGA-PBE.
Lines closer than 0.1° are merged.

Structural model:
Lattice parameters (Å, degrees): 11.418 4.576 9.189 90.00 101.27 90.00
Space group C2/m (No. 12)
One atom of each set of equivalent atoms:
Ba1 0.000 0.000 0.000
Ba2 0.120 0.500 0.380
Li1 0.181 0.500 0.795
Pd1 0.090 0.000 0.639
Pd2 0.239 0.500 0.092

Top 10 peaks for 5 to 70 degrees two-theta, most intense first:
- 2θ = 34.21°, I = 100
- 2θ = 23.86°, I = 85
- 2θ = 35.37°, I = 45
- 2θ = 39.39°, I = 43
- 2θ = 30.92°, I = 42
- 2θ = 37.98°, I = 41
- 2θ = 29.74°, I = 23
- 2θ = 39.49°, I = 22
- 2θ = 53.97°, I = 21
- 2θ = 31.56°, I = 21

Record 9
# BaLi4Pd4
Simulated PXRD pattern, Cu Kα, 1.54184 Å. Input: a cell relaxed with GGA-PBE.
Lines closer than 0.1° are merged.

Structural model:
Lattice parameters (Å, degrees): 8.313 8.313 4.604 90.00 90.00 90.00
Space group I4/m (No. 87)
One atom of each set of equivalent atoms:
Ba1 0.000 0.000 0.000
Li1 0.077 0.374 0.000
Pd1 0.145 0.246 0.500

Top 10 peaks for 5 to 70 degrees two-theta, most intense first:
- 2θ = 30.92°, I = 100
- 2θ = 37.90°, I = 34
- 2θ = 34.11°, I = 31
- 2θ = 39.13°, I = 21
- 2θ = 43.92°, I = 21
- 2θ = 15.07°, I = 21
- 2θ = 59.07°, I = 17
- 2θ = 52.86°, I = 17
- 2θ = 30.41°, I = 14
- 2θ = 56.44°, I = 14

Record 10
# Ba4LiPd2
Simulated PXRD pattern, Cu Kα, 1.54184 Å. Input: a cell relaxed with GGA-PBE.
Lines closer than 0.1° are merged.

Structural model:
Lattice parameters (Å, degrees): 13.412 9.731 9.010 90.00 109.05 90.00
Space group Cm (No. 8)
One atom of each set of equivalent atoms:
Ba1 0.000 0.000 0.000
Ba2 0.004 0.000 0.525
Ba3 0.020 0.500 0.014
Ba4 0.031 0.500 0.532
Ba5 0.276 0.272 0.148
Ba6 0.292 0.267 0.660
Li1 0.201 0.000 0.864
Li2 0.220 0.000 0.369
Pd1 0.081 0.242 0.805
Pd2 0.225 0.500 0.873
Pd3 0.238 0.500 0.384

Top 10 peaks for 5 to 70 degrees two-theta, most intense first:
- 2θ = 27.84°, I = 100
- 2θ = 27.94°, I = 99
- 2θ = 23.04°, I = 78
- 2θ = 11.46°, I = 75
- 2θ = 28.16°, I = 63
- 2θ = 34.57°, I = 60
- 2θ = 34.32°, I = 59
- 2θ = 36.94°, I = 57
- 2θ = 40.03°, I = 43
- 2θ = 28.82°, I = 41

Record 11
# Ba2Li5Pd12
Simulated PXRD pattern, Cu Kα, 1.54184 Å. Input: a cell relaxed with GGA-PBE.
Lines closer than 0.1° are merged.

Structural model:
Lattice parameters (Å, degrees): 9.3457 9.3457 13.2550 90.00 90.00 120.00
Space group R-3m (No. 166, hexagonal axes)
One atom of each set of equivalent atoms:
Ba1 0.0000 0.0000 0.1515
Li1 0.0000 0.0000 0.4076
Li2 0.0000 0.5000 0.0000
Pd1 0.0000 0.2883 0.5000
Pd2 0.0111 0.5055 0.3473

Top 10 peaks for 5 to 70 degrees two-theta, most intense first:
- 2θ = 39.12°, I = 100
- 2θ = 35.00°, I = 54
- 2θ = 29.98°, I = 37
- 2θ = 25.79°, I = 34
- 2θ = 40.85°, I = 32
- 2θ = 43.83°, I = 32
- 2θ = 33.21°, I = 26
- 2θ = 38.53°, I = 25
- 2θ = 18.99°, I = 21
- 2θ = 45.33°, I = 18

Record 12
# BaLi8Pd4
Simulated PXRD pattern, Cu Kα, 1.54184 Å. Input: a cell relaxed with GGA-PBE.
Lines closer than 0.1° are merged.

Structural model:
Lattice parameters (Å, degrees): 9.061 9.061 5.578 90.00 90.00 90.00
Space group I4/mmm (No. 139)
One atom of each set of equivalent atoms:
Ba1 0.000 0.000 0.000
Li1 0.000 0.235 0.500
Li2 0.000 0.347 0.000
Pd1 0.250 0.250 0.250

Top 10 peaks for 5 to 70 degrees two-theta, most intense first:
- 2θ = 27.85°, I = 100
- 2θ = 37.88°, I = 99
- 2θ = 19.59°, I = 73
- 2θ = 56.11°, I = 58
- 2θ = 39.79°, I = 45
- 2θ = 18.68°, I = 28
- 2θ = 13.82°, I = 26
- 2θ = 27.20°, I = 25
- 2θ = 43.00°, I = 23
- 2θ = 44.73°, I = 18